# 1
For ZnAg2O4, DFT lattice parameters and positions (GGA-PBE) gives the calculated XRD peak list in this record (Cu Kα, 1.54184 Å).
No peak broadening, texture or thermal motion is included.

Most intense lines, 2θ = 15–90°, low angle first:
| 2θ (°) | d/Å | I_rel |
| --- | --- | --- |
| 30.62 | 2.919 | 259 |
| 31.76 | 2.817 | 1000 |
| 33.21 | 2.698 | 356 |
| 34.49 | 2.601 | 335 |
| 37.72 | 2.385 | 232 |
| 38.84 | 2.318 | 286 |
| 42.05 | 2.149 | 260 |
| 58.43 | 1.579 | 178 |

Crystal structure
a b c (Å): 3.1853 10.7902 9.9100
angles (deg): 90.00 90.00 90.00
Sites, in units of the cell vectors:
Zn1 0.1835 0.1516 0.2500
Zn2 0.1835 0.3484 0.7500
Zn3 0.8165 0.6516 0.2500
Zn4 0.8165 0.8484 0.7500
Ag1 0.3215 0.6151 0.5705
Ag2 0.3215 0.6151 0.9295
Ag3 0.3215 0.8849 0.0705
Ag4 0.3215 0.8849 0.4295
Ag5 0.6785 0.1151 0.5705
Ag6 0.6785 0.1151 0.9295
Ag7 0.6785 0.3849 0.0705
Ag8 0.6785 0.3849 0.4295
O1 0.0477 0.2500 0.0000
O2 0.0477 0.2500 0.5000
O3 0.3032 0.7141 0.7500
O4 0.3032 0.7859 0.2500
O5 0.3729 0.5488 0.1238
O6 0.3729 0.5488 0.3762
O7 0.3729 0.9512 0.6238
O8 0.3729 0.9512 0.8762
O9 0.6271 0.0488 0.1238
O10 0.6271 0.0488 0.3762
O11 0.6271 0.4512 0.6238
O12 0.6271 0.4512 0.8762
O13 0.6968 0.2141 0.7500
O14 0.6968 0.2859 0.2500
O15 0.9523 0.7500 0.0000
O16 0.9523 0.7500 0.5000

# 2
For ZnAgO, DFT lattice parameters and positions (GGA-PBE) gives the calculated XRD peak list in this record (Cu Kα, 1.54184 Å).
No peak broadening, texture or thermal motion is included.

Most intense lines, 2θ = 15–90°, low angle first:
| 2θ (°) | d/Å | I_rel |
| --- | --- | --- |
| 32.42 | 2.762 | 358 |
| 35.27 | 2.545 | 257 |
| 37.03 | 2.427 | 1000 |
| 42.19 | 2.142 | 167 |
| 48.65 | 1.871 | 169 |
| 57.83 | 1.594 | 248 |
| 69.58 | 1.351 | 189 |
| 70.69 | 1.333 | 142 |

Crystal structure
a b c (Å): 5.5205 3.1907 10.1789
angles (deg): 90.00 90.06 90.00
Sites, in units of the cell vectors:
Zn1 0.0000 0.0000 0.0000
Zn2 0.1660 0.5000 0.7260
Zn3 0.5000 0.5000 0.0000
Zn4 0.6660 0.0000 0.7260
Ag1 0.1641 0.5000 0.2851
Ag2 0.4979 0.5000 0.5027
Ag3 0.6641 0.0000 0.2851
Ag4 0.9979 0.0000 0.5027
O1 0.9996 0.0000 0.7981
O2 0.1665 0.5000 0.0638
O3 0.4996 0.5000 0.7981
O4 0.6665 0.0000 0.0638

# 3
For ZnAg2O4, DFT lattice parameters and positions (GGA-PBE) gives the calculated XRD peak list in this record (Cu Kα, 1.54184 Å).
No peak broadening, texture or thermal motion is included.

Most intense lines, 2θ = 15–90°, low angle first:
| 2θ (°) | d/Å | I_rel |
| --- | --- | --- |
| 16.97 | 5.224 | 430 |
| 28.24 | 3.160 | 1000 |
| 31.90 | 2.806 | 287 |
| 34.33 | 2.612 | 499 |
| 34.92 | 2.570 | 940 |
| 43.12 | 2.098 | 241 |
| 54.83 | 1.674 | 596 |
| 56.84 | 1.620 | 242 |

Crystal structure
a b c (Å): 6.9935 6.9935 6.9935
angles (deg): 130.08 130.08 73.28
Sites, in units of the cell vectors:
Zn1 0.3750 0.6250 0.7500
Zn2 0.6250 0.3750 0.2500
Ag1 0.0000 0.0000 0.0000
Ag2 0.0000 0.0000 0.5000
Ag3 0.0000 0.5000 0.0000
Ag4 0.5000 0.0000 0.5000
O1 0.2260 0.7375 0.4885
O2 0.2511 0.2625 0.9885
O3 0.2625 0.2511 0.4885
O4 0.2625 0.7740 0.0115
O5 0.7375 0.2260 0.9885
O6 0.7375 0.7489 0.5115
O7 0.7489 0.7375 0.0115
O8 0.7740 0.2625 0.5115